# 1
Li2Fe3TeO8: simulated XRD peak list (Cu Kα (weighted mean of Kα1 and Kα2)), based on a GGA+U-relaxed structure.
Lines closer than 0.1° are merged.

Structural model:
```
data_Li2Fe3TeO8
_symmetry_space_group_name_H-M 'C 1 2/m 1'
_symmetry_Int_Tables_number 12
_symmetry_space_group_name_Hall '-C 2y'
_cell_length_a 10.5725
_cell_length_b 6.0329
_cell_length_c 6.2676
_cell_angle_alpha 90.00
_cell_angle_beta 125.73
_cell_angle_gamma 90.00
loop_
_atom_site_label
_atom_site_type_symbol
_atom_site_fract_x
_atom_site_fract_y
_atom_site_fract_z
Li1 Li 0.1343 0.0000 0.4168
Fe1 Fe 0.0000 0.5000 0.0000
Fe2 Fe 0.2500 0.2500 0.0000
Te1 Te 0.0000 0.5000 0.5000
O1 O 0.0063 0.2746 0.7316
O2 O 0.2324 0.5000 0.7447
O3 O 0.2382 0.5000 0.1933
```

The 6 most intense peaks (2θ = 5–70°), in order of rising 2θ:
5.035 Å, 2θ = 17.6°, I 587, hkl 2 0 -1; 4.936 Å, 2θ = 18.0°, I 1000, hkl 1 1 0; 2.653 Å, 2θ = 33.8°, I 206, hkl 1 1 -2; 2.594 Å, 2θ = 34.6°, I 181, hkl 0 2 1; 2.173 Å, 2θ = 41.6°, I 501, hkl 2 2 -2; 2.146 Å, 2θ = 42.1°, I 246, hkl 4 0 0



# 2
Li4Fe3TeO8: simulated XRD peak list (Cu Kα (weighted mean of Kα1 and Kα2)), based on a GGA+U-relaxed structure.
Lines closer than 0.1° are merged.

Structural model:
```
data_Li4Fe3TeO8
_symmetry_space_group_name_H-M 'P 1'
_symmetry_Int_Tables_number 1
_symmetry_space_group_name_Hall 'P 1'
_cell_length_a 4.9995
_cell_length_b 5.9852
_cell_length_c 6.6550
_cell_angle_alpha 93.36
_cell_angle_beta 90.29
_cell_angle_gamma 91.18
loop_
_atom_site_label
_atom_site_type_symbol
_atom_site_fract_x
_atom_site_fract_y
_atom_site_fract_z
Li1 Li 0.0000 0.0000 0.0000
Li2 Li 0.0008 0.5075 0.7650
Li3 Li 0.3971 0.6596 0.5133
Li4 Li 0.4705 0.1863 0.2347
Fe1 Fe 0.0063 0.5096 0.2426
Fe2 Fe 0.4593 0.1867 0.7744
Fe3 Fe 0.4993 0.6842 0.0017
Te1 Te 0.9294 0.9997 0.4879
O1 O 0.3141 0.0278 0.4922
O2 O 0.3905 0.5170 0.2305
O3 O 0.3961 0.9853 0.9953
O4 O 0.4073 0.5125 0.7641
O5 O 0.8882 0.6769 0.0254
O6 O 0.8971 0.2055 0.2438
O7 O 0.8989 0.1647 0.7490
O8 O 0.9713 0.6531 0.5072
```

The 6 most intense peaks (2θ = 5–70°), in order of rising 2θ:
4.578 Å, 2θ = 19.4°, I 1000, hkl 0 1 -1; 4.006 Å, 2θ = 22.2°, I 860, hkl 1 0 -1; 3.982 Å, 2θ = 22.3°, I 987, hkl 1 0 1; 2.983 Å, 2θ = 30.0°, I 772, hkl 0 2 0; 2.833 Å, 2θ = 31.6°, I 638, hkl 0 1 2; 2.499 Å, 2θ = 35.9°, I 792, hkl 2 0 0



# 3
Li2Fe3TeO8: simulated XRD peak list (Cu Kα (weighted mean of Kα1 and Kα2)), based on a GGA+U-relaxed structure.
Lines closer than 0.1° are merged.

Structural model:
```
data_Li2Fe3TeO8
_symmetry_space_group_name_H-M 'P 1'
_symmetry_Int_Tables_number 1
_symmetry_space_group_name_Hall 'P 1'
_cell_length_a 5.9708
_cell_length_b 6.0541
_cell_length_c 10.3667
_cell_angle_alpha 106.11
_cell_angle_beta 90.20
_cell_angle_gamma 118.95
loop_
_atom_site_label
_atom_site_type_symbol
_atom_site_fract_x
_atom_site_fract_y
_atom_site_fract_z
Li1 Li 0.0000 0.0000 0.0000
Li2 Li 0.0767 0.1724 0.3555
Li3 Li 0.4983 0.0033 0.4993
Li4 Li 0.5930 0.1956 0.8651
Fe1 Fe 0.0362 0.5853 0.1767
Fe2 Fe 0.0479 0.6035 0.6867
Fe3 Fe 0.2968 0.5971 0.9297
Fe4 Fe 0.5386 0.5852 0.1783
Fe5 Fe 0.5478 0.6032 0.6864
Fe6 Fe 0.7871 0.5857 0.4298
Te1 Te 0.0456 0.1003 0.6847
Te2 Te 0.5380 0.0845 0.1762
O1 O 0.1587 0.8604 0.5800
O2 O 0.1711 0.3516 0.5775
O3 O 0.2016 0.3929 0.0504
O4 O 0.2041 0.8429 0.0510
O5 O 0.3926 0.7913 0.7950
O6 O 0.3955 0.3557 0.7995
O7 O 0.4156 0.3128 0.2857
O8 O 0.4243 0.8489 0.2888
O9 O 0.6362 0.8352 0.0543
O10 O 0.6498 0.3218 0.0647
O11 O 0.6941 0.8643 0.5815
O12 O 0.7014 0.4111 0.5841
O13 O 0.8751 0.3083 0.2893
O14 O 0.8776 0.7881 0.2951
O15 O 0.9222 0.8512 0.7935
O16 O 0.9545 0.3594 0.8008
```

The 6 most intense peaks (2θ = 5–70°), in order of rising 2θ:
4.910 Å, 2θ = 18.1°, I 1000, hkl 0 0 2; 4.868 Å, 2θ = 18.2°, I 462, hkl 1 -1 1; 2.597 Å, 2θ = 34.5°, I 187, hkl -1 2 1; 2.577 Å, 2θ = 34.8°, I 228, hkl -1 1 3; 2.142 Å, 2θ = 42.2°, I 229, hkl 2 0 2; 2.129 Å, 2θ = 42.5°, I 455, hkl 0 2 -4



# 4
Li4Ti3Fe3Te2O16: simulated XRD peak list (Cu Kα (weighted mean of Kα1 and Kα2)), based on a GGA+U-relaxed structure.
Lines closer than 0.1° are merged.

Structural model:
```
data_Li4Ti3Fe3Te2O16
_symmetry_space_group_name_H-M 'P 1'
_symmetry_Int_Tables_number 1
_symmetry_space_group_name_Hall 'P 1'
_cell_length_a 5.9634
_cell_length_b 6.0753
_cell_length_c 10.2839
_cell_angle_alpha 90.01
_cell_angle_beta 90.15
_cell_angle_gamma 119.08
loop_
_atom_site_label
_atom_site_type_symbol
_atom_site_fract_x
_atom_site_fract_y
_atom_site_fract_z
Li1 Li 0.0000 0.0000 0.0000
Li2 Li 0.0032 0.9963 0.5092
Li3 Li 0.3314 0.6685 0.4080
Li4 Li 0.6597 0.3196 0.9198
Ti1 Ti 0.1842 0.3499 0.7464
Ti2 Ti 0.3390 0.1815 0.2326
Ti3 Ti 0.8330 0.1772 0.2335
Fe1 Fe 0.1675 0.8197 0.7319
Fe2 Fe 0.6613 0.8282 0.7306
Fe3 Fe 0.8279 0.6603 0.2244
Te1 Te 0.3411 0.6880 0.0094
Te2 Te 0.6738 0.3333 0.5247
O1 O 0.0104 0.0083 0.8164
O2 O 0.0185 0.4964 0.8430
O3 O 0.1342 0.2779 0.1237
O4 O 0.1588 0.8426 0.1100
O5 O 0.3211 0.6427 0.6280
O6 O 0.3386 0.1573 0.6228
O7 O 0.4633 0.9522 0.8721
O8 O 0.4695 0.4862 0.8514
O9 O 0.4939 0.4798 0.3257
O10 O 0.5092 0.0220 0.3317
O11 O 0.6571 0.3186 0.1233
O12 O 0.6797 0.8458 0.1071
O13 O 0.8463 0.1714 0.6094
O14 O 0.8519 0.6684 0.6101
O15 O 0.9745 0.4749 0.3311
O16 O 0.9933 0.9898 0.3239
```

The 6 most intense peaks (2θ = 5–70°), in order of rising 2θ:
4.718 Å, 2θ = 18.8°, I 705, hkl 0 1 -1; 4.644 Å, 2θ = 19.1°, I 1000, hkl 1 0 1; 2.880 Å, 2θ = 31.1°, I 390, hkl 0 1 -3; 2.862 Å, 2θ = 31.2°, I 512, hkl 1 0 3; 2.624 Å, 2θ = 34.2°, I 376, hkl 1 1 2; 2.579 Å, 2θ = 34.8°, I 370, hkl -2 1 2



# 5
Li4V3Fe3Te2O16: simulated XRD peak list (Cu Kα (weighted mean of Kα1 and Kα2)), based on a GGA+U-relaxed structure.
Lines closer than 0.1° are merged.

Structural model:
```
data_Li4V3Fe3Te2O16
_symmetry_space_group_name_H-M 'P 1'
_symmetry_Int_Tables_number 1
_symmetry_space_group_name_Hall 'P 1'
_cell_length_a 5.9641
_cell_length_b 6.0439
_cell_length_c 10.1823
_cell_angle_alpha 90.47
_cell_angle_beta 90.02
_cell_angle_gamma 118.88
loop_
_atom_site_label
_atom_site_type_symbol
_atom_site_fract_x
_atom_site_fract_y
_atom_site_fract_z
Li1 Li 0.0000 0.0000 0.0000
Li2 Li 0.0239 0.0041 0.5075
Li3 Li 0.3440 0.6817 0.5872
Li4 Li 0.6946 0.3401 0.0922
V1 V 0.1977 0.8422 0.2793
V2 V 0.6844 0.8260 0.2742
V3 V 0.8149 0.6556 0.7674
Fe1 Fe 0.1898 0.3487 0.2830
Fe2 Fe 0.3484 0.1668 0.7811
Fe3 Fe 0.8460 0.1804 0.7766
Te1 Te 0.3281 0.6642 0.9893
Te2 Te 0.6810 0.3174 0.5025
O1 O 0.0071 0.9946 0.6899
O2 O 0.0227 0.0167 0.1844
O3 O 0.0559 0.5309 0.1663
O4 O 0.1501 0.8172 0.8985
O5 O 0.1590 0.3303 0.9037
O6 O 0.3370 0.1608 0.3976
O7 O 0.3606 0.6812 0.3852
O8 O 0.5044 0.9877 0.1783
O9 O 0.5360 0.5369 0.1806
O10 O 0.5420 0.5210 0.6613
O11 O 0.5450 0.0473 0.6348
O12 O 0.6804 0.8446 0.8833
O13 O 0.6868 0.3491 0.8818
O14 O 0.8553 0.1562 0.3982
O15 O 0.8991 0.7266 0.3817
O16 O 0.9833 0.4941 0.6611
```

The 6 most intense peaks (2θ = 5–70°), in order of rising 2θ:
4.714 Å, 2θ = 18.8°, I 579, hkl 0 1 -1; 4.666 Å, 2θ = 19.0°, I 1000, hkl 1 0 -1; 4.629 Å, 2θ = 19.2°, I 918, hkl 1 0 1; 2.841 Å, 2θ = 31.5°, I 461, hkl 1 0 3; 2.609 Å, 2θ = 34.4°, I 694, hkl 1 -2 2; 2.572 Å, 2θ = 34.9°, I 683, hkl 2 -1 2



# 6
Li4Fe2TeWO12: simulated XRD peak list (Cu Kα (weighted mean of Kα1 and Kα2)), based on a GGA+U-relaxed structure.
Lines closer than 0.1° are merged.

Structural model:
```
data_Li4Fe2TeWO12
_symmetry_space_group_name_H-M 'P 1'
_symmetry_Int_Tables_number 1
_symmetry_space_group_name_Hall 'P 1'
_cell_length_a 5.1294
_cell_length_b 5.4224
_cell_length_c 7.4663
_cell_angle_alpha 85.60
_cell_angle_beta 89.96
_cell_angle_gamma 89.99
loop_
_atom_site_label
_atom_site_type_symbol
_atom_site_fract_x
_atom_site_fract_y
_atom_site_fract_z
Li1 Li 0.0000 0.0000 0.0000
Li2 Li 0.0059 0.0075 0.5037
Li3 Li 0.5041 0.5127 0.0039
Li4 Li 0.5113 0.5060 0.4993
Fe1 Fe 0.0045 0.5815 0.7871
Fe2 Fe 0.5055 0.0775 0.2894
Te1 Te 0.5045 0.0867 0.7914
W1 W 0.0062 0.5776 0.2880
O1 O 0.1247 0.6031 0.0465
O2 O 0.1855 0.9190 0.7366
O3 O 0.1955 0.2860 0.3595
O4 O 0.3059 0.7819 0.3596
O5 O 0.3336 0.4083 0.7358
O6 O 0.3737 0.1097 0.0374
O7 O 0.6381 0.1108 0.5489
O8 O 0.6886 0.4140 0.2416
O9 O 0.6960 0.7925 0.8714
O10 O 0.8013 0.2837 0.8696
O11 O 0.8269 0.9059 0.2442
O12 O 0.8877 0.6066 0.5410
```

The 6 most intense peaks (2θ = 5–70°), in order of rising 2θ:
4.224 Å, 2θ = 21.0°, I 253, hkl 1 0 1; 3.721 Å, 2θ = 23.9°, I 1000, hkl 1 1 0; 2.704 Å, 2θ = 33.1°, I 379, hkl 1 1 2; 2.565 Å, 2θ = 35.0°, I 243, hkl 2 0 0; 1.861 Å, 2θ = 49.0°, I 184, hkl 2 2 0; 1.701 Å, 2θ = 53.9°, I 275, hkl 2 2 2



# 7
Li6TiFe5O12: simulated XRD peak list (Cu Kα (weighted mean of Kα1 and Kα2)), based on a GGA+U-relaxed structure.
Lines closer than 0.1° are merged.

Structural model:
```
data_Li6TiFe5O12
_symmetry_space_group_name_H-M 'C 1 2 1'
_symmetry_Int_Tables_number 5
_symmetry_space_group_name_Hall 'C 2y'
_cell_length_a 5.0363
_cell_length_b 8.8514
_cell_length_c 10.0891
_cell_angle_alpha 90.00
_cell_angle_beta 100.72
_cell_angle_gamma 90.00
loop_
_atom_site_label
_atom_site_type_symbol
_atom_site_fract_x
_atom_site_fract_y
_atom_site_fract_z
Li1 Li 0.0687 0.0000 0.2538
Li2 Li 0.0720 0.3337 0.2516
Li3 Li 0.0782 0.6736 0.2543
Ti1 Ti 0.0000 0.5029 0.5000
Fe1 Fe 0.0000 0.1687 0.5000
Fe2 Fe 0.0000 0.3332 0.0000
Fe3 Fe 0.0000 0.6682 0.0000
Fe4 Fe 0.0000 0.8353 0.5000
Fe5 Fe 0.0000 0.9975 0.0000
O1 O 0.1379 0.1724 0.8899
O2 O 0.1379 0.4937 0.8914
O3 O 0.1400 0.8332 0.8845
O4 O 0.1972 0.6637 0.6147
O5 O 0.2094 0.3426 0.6134
O6 O 0.2199 0.9978 0.6145
```

The 6 most intense peaks (2θ = 5–70°), in order of rising 2θ:
4.957 Å, 2θ = 17.9°, I 1000, hkl 0 0 2; 2.513 Å, 2θ = 35.7°, I 213, hkl 1 3 -1; 2.476 Å, 2θ = 36.3°, I 137, hkl 2 0 0; 2.400 Å, 2θ = 37.5°, I 272, hkl 1 3 1; 2.110 Å, 2θ = 42.9°, I 215, hkl 1 3 -3; 1.924 Å, 2θ = 47.2°, I 209, hkl 1 3 3



# 8
Li2TiFe2O5: simulated XRD peak list (Cu Kα (weighted mean of Kα1 and Kα2)), based on a GGA+U-relaxed structure.
Lines closer than 0.1° are merged.

Structural model:
```
data_Li2TiFe2O5
_symmetry_space_group_name_H-M 'P -1'
_symmetry_Int_Tables_number 2
_symmetry_space_group_name_Hall '-P 1'
_cell_length_a 4.2024
_cell_length_b 6.1659
_cell_length_c 8.1022
_cell_angle_alpha 105.18
_cell_angle_beta 104.95
_cell_angle_gamma 90.08
loop_
_atom_site_label
_atom_site_type_symbol
_atom_site_fract_x
_atom_site_fract_y
_atom_site_fract_z
Li1 Li 0.0000 0.0000 0.0000
Li2 Li 0.0000 0.5000 0.0000
Li3 Li 0.1837 0.1284 0.3789
Ti1 Ti 0.4370 0.1786 0.8003
Fe1 Fe 0.2020 0.6342 0.3993
Fe2 Fe 0.3994 0.6848 0.8017
O1 O 0.1095 0.3317 0.2176
O2 O 0.1141 0.8181 0.1898
O3 O 0.3073 0.3444 0.6239
O4 O 0.3105 0.9037 0.6233
O5 O 0.5000 0.0000 0.0000
O6 O 0.5000 0.5000 0.0000
```

The 6 most intense peaks (2θ = 5–70°), in order of rising 2θ:
4.048 Å, 2θ = 22.0°, I 764, hkl 1 0 0; 2.449 Å, 2θ = 36.7°, I 434, hkl 1 0 -3; 2.240 Å, 2θ = 40.3°, I 1000, hkl 0 2 -3; 2.101 Å, 2θ = 43.0°, I 927, hkl 2 0 -1; 2.074 Å, 2θ = 43.7°, I 834, hkl 0 2 2; 1.476 Å, 2θ = 63.0°, I 450, hkl 2 2 1